No. 1
Diffraction record for Dy2Ho3ScAs6. The PXRD pattern is calculated, not measured: it uses a PBE-relaxed structure and copper Kα.
Peak positions follow from Bragg's law for the DFT cell and can differ from measured ones.

Structural model:
```
data_Dy2Ho3ScAs6
_chemical_formula_sum 'Dy2 Ho3 Sc1 As6'
_cell_length_a 9.1050
_cell_length_b 9.1050
_cell_length_c 8.1427
_cell_angle_alpha 102.92
_cell_angle_beta 102.92
_cell_angle_gamma 25.86
_space_group_name_H-M_alt 'P 1'
_space_group_IT_number 1
loop_
_space_group_symop_operation_xyz
'x,y,z'
loop_
_atom_site_label
_atom_site_fract_x
_atom_site_fract_y
_atom_site_fract_z
Dy1 0.1655 0.1655 0.3317
Dy2 0.8345 0.8345 0.6683
Ho1 0.1674 0.1674 0.8343
Ho2 0.5000 0.5000 0.5000
Ho3 0.8326 0.8326 0.1657
Sc1 0.5000 0.5000 0.0000
As1 0.0010 0.0010 0.7596
As2 0.3335 0.3335 0.4159
As3 0.3369 0.3369 0.9196
As4 0.6631 0.6631 0.0804
As5 0.6665 0.6665 0.5841
As6 0.9990 0.9990 0.2404
```

Top 10 peaks for 15 to 90 degrees two-theta, most intense first:
d [Å]	I (rel.)
2.880	100
2.036	74
1.288	33
1.663	26
1.176	25
3.325	17
1.440	12
1.737	8
1.321	3
1.108	3

=====

No. 2
Diffraction record for KDyAsO4. The PXRD pattern is calculated, not measured: it uses a PBE-relaxed structure and copper Kα.
Peak positions follow from Bragg's law for the DFT cell and can differ from measured ones.

Structural model:
```
data_KDyAsO4
_chemical_formula_sum 'K2 Dy2 As2 O8'
_cell_length_a 6.7031
_cell_length_b 6.7031
_cell_length_c 6.7031
_cell_angle_alpha 122.25
_cell_angle_beta 117.48
_cell_angle_gamma 90.29
_space_group_name_H-M_alt 'P 1'
_space_group_IT_number 1
loop_
_space_group_symop_operation_xyz
'x,y,z'
loop_
_atom_site_label
_atom_site_fract_x
_atom_site_fract_y
_atom_site_fract_z
K1 0.5000 0.0000 0.0000
K2 0.5000 0.5000 0.5000
Dy1 0.0000 0.0000 0.0000
Dy2 0.5000 0.0000 0.5000
As1 0.1120 0.3620 0.7500
As2 0.8880 0.6380 0.2500
O1 0.2027 0.2489 0.9537
O2 0.2048 0.7511 0.4537
O3 0.2306 0.2144 0.4837
O4 0.2306 0.7469 0.0163
O5 0.7694 0.2531 0.9837
O6 0.7694 0.7856 0.5163
O7 0.7952 0.2489 0.5463
O8 0.7973 0.7511 0.0463
```

Top 10 peaks for 15 to 90 degrees two-theta, most intense first:
d [Å]	I (rel.)
2.915	100
5.342	66
2.834	57
2.802	48
1.674	46
2.368	33
3.237	30
1.800	28
4.728	21
3.347	19

=====

No. 3
Diffraction record for La5DyAs6. The PXRD pattern is calculated, not measured: it uses a PBE-relaxed structure and copper Kα.
Peak positions follow from Bragg's law for the DFT cell and can differ from measured ones.

Structural model:
```
data_La5DyAs6
_chemical_formula_sum 'La5 Dy1 As6'
_cell_length_a 7.5092
_cell_length_b 7.5092
_cell_length_c 7.5078
_cell_angle_alpha 99.60
_cell_angle_beta 99.60
_cell_angle_gamma 119.99
_space_group_name_H-M_alt 'P 1'
_space_group_IT_number 1
loop_
_space_group_symop_operation_xyz
'x,y,z'
loop_
_atom_site_label
_atom_site_fract_x
_atom_site_fract_y
_atom_site_fract_z
La1 0.0000 0.0000 0.0000
La2 0.1663 0.8337 0.5000
La3 0.3324 0.6676 0.0000
La4 0.6676 0.3324 0.0000
La5 0.8337 0.1663 0.5000
Dy1 0.5000 0.5000 0.5000
As1 0.0922 0.4183 0.2547
As2 0.2561 0.2561 0.7461
As3 0.4183 0.0922 0.2547
As4 0.5817 0.9078 0.7453
As5 0.7439 0.7439 0.2539
As6 0.9078 0.5817 0.7453
```

Top 10 peaks for 15 to 90 degrees two-theta, most intense first:
d [Å]	I (rel.)
3.065	100
2.168	75
1.371	34
1.770	27
1.251	25
3.540	16
1.533	12
1.848	8
1.407	3
1.180	3

=====

No. 4
Diffraction record for LaDy2As3. The PXRD pattern is calculated, not measured: it uses a PBE-relaxed structure and copper Kα.
Peak positions follow from Bragg's law for the DFT cell and can differ from measured ones.

Structural model:
```
data_LaDy2As3
_chemical_formula_sum 'La2 Dy4 As6'
_cell_length_a 4.2071
_cell_length_b 5.9614
_cell_length_c 12.6123
_cell_angle_alpha 90.00
_cell_angle_beta 90.00
_cell_angle_gamma 90.00
_space_group_name_H-M_alt 'P 1'
_space_group_IT_number 1
loop_
_space_group_symop_operation_xyz
'x,y,z'
loop_
_atom_site_label
_atom_site_fract_x
_atom_site_fract_y
_atom_site_fract_z
La1 0.0000 0.0000 0.0000
La2 0.5000 0.5000 0.5000
Dy1 0.0000 0.0000 0.3342
Dy2 0.0000 0.0000 0.6658
Dy3 0.5000 0.5000 0.1658
Dy4 0.5000 0.5000 0.8342
As1 0.0000 0.5000 0.0000
As2 0.0000 0.5000 0.3262
As3 0.0000 0.5000 0.6738
As4 0.5000 0.0000 0.1738
As5 0.5000 0.0000 0.5000
As6 0.5000 0.0000 0.8262
```

Top 10 peaks for 15 to 90 degrees two-theta, most intense first:
d [Å]	I (rel.)
2.976	100
2.104	75
1.718	26
1.330	22
3.437	20
1.215	17
1.332	11
1.214	8
1.487	8
1.795	7

=====

No. 5
Diffraction record for La2DyPaAs4. The PXRD pattern is calculated, not measured: it uses a PBE-relaxed structure and copper Kα.
Peak positions follow from Bragg's law for the DFT cell and can differ from measured ones.

Structural model:
```
data_La2DyPaAs4
_chemical_formula_sum 'La2 Dy1 Pa1 As4'
_cell_length_a 7.2817
_cell_length_b 4.2291
_cell_length_c 7.3731
_cell_angle_alpha 90.00
_cell_angle_beta 109.36
_cell_angle_gamma 90.00
_space_group_name_H-M_alt 'P 1'
_space_group_IT_number 1
loop_
_space_group_symop_operation_xyz
'x,y,z'
loop_
_atom_site_label
_atom_site_fract_x
_atom_site_fract_y
_atom_site_fract_z
La1 0.0000 0.0000 0.0000
La2 0.5000 0.5000 0.0000
Dy1 0.0000 0.5000 0.5000
Pa1 0.5000 0.0000 0.5000
As1 0.2488 0.0000 0.7322
As2 0.2591 0.5000 0.2692
As3 0.7409 0.5000 0.7308
As4 0.7512 0.0000 0.2678
```

Top 10 peaks for 15 to 90 degrees two-theta, most intense first:
d [Å]	I (rel.)
2.992	100
2.116	25
2.105	25
2.125	25
1.726	13
3.453	12
1.496	12
1.333	11
1.343	11
3.478	7

=====

No. 6
Diffraction record for LaDyAs2Pd2. The PXRD pattern is calculated, not measured: it uses a PBE-relaxed structure and copper Kα.
Peak positions follow from Bragg's law for the DFT cell and can differ from measured ones.

Structural model:
```
data_LaDyAs2Pd2
_chemical_formula_sum 'La1 Dy1 As2 Pd2'
_cell_length_a 4.3847
_cell_length_b 4.3847
_cell_length_c 7.7025
_cell_angle_alpha 90.00
_cell_angle_beta 90.00
_cell_angle_gamma 120.00
_space_group_name_H-M_alt 'P 1'
_space_group_IT_number 1
loop_
_space_group_symop_operation_xyz
'x,y,z'
loop_
_atom_site_label
_atom_site_fract_x
_atom_site_fract_y
_atom_site_fract_z
La1 0.0000 0.0000 0.0000
Dy1 0.0000 0.0000 0.5000
As1 0.3333 0.6667 0.2551
As2 0.6667 0.3333 0.7449
Pd1 0.3333 0.6667 0.7254
Pd2 0.6667 0.3333 0.2746
```

Top 10 peaks for 15 to 90 degrees two-theta, most intense first:
d [Å]	I (rel.)
2.704	100
2.192	53
1.703	25
1.447	25
1.345	23
1.926	11
1.266	9
1.216	7
3.797	6
1.096	6